1.
The following is a computed PXRD pattern of KMg6Si. It was derived from a DFT-relaxed cell (PBE, the Materials Project), using Cu Ka.

Crystal structure
abc: 4.8973 6.1896 14.1215
angles: 90.00 90.00 90.00
Sites, in units of the cell vectors:
K (0.0000, 0.0000, 0.0000)
K (0.0000, 0.5000, 0.5000)
Mg (0.0000, 0.2408, 0.7328)
Mg (0.0000, 0.2592, 0.2328)
Mg (0.0000, 0.7408, 0.2328)
Mg (0.0000, 0.7592, 0.7328)
Mg (0.5000, 0.0000, 0.1697)
Mg (0.5000, 0.0000, 0.6255)
Mg (0.5000, 0.2426, 0.3738)
Mg (0.5000, 0.2574, 0.8738)
Mg (0.5000, 0.5000, 0.1255)
Mg (0.5000, 0.5000, 0.6697)
Mg (0.5000, 0.7426, 0.8738)
Mg (0.5000, 0.7574, 0.3738)
Si (0.0000, 0.0000, 0.3912)
Si (0.0000, 0.5000, 0.8912)

Peak list (8 most intense, 5 to 70 degrees two-theta, by angle)
23.7 deg, rel. 9.9
30.0 deg, rel. 23.5
31.2 deg, rel. 40.5
31.6 deg, rel. 18.5
34.9 deg, rel. 13.8
36.7 deg, rel. 100.0
49.2 deg, rel. 9.9
66.0 deg, rel. 11.5

---

2.
The following is a computed PXRD pattern of MgTi2Zn2O6. It was derived from a DFT-relaxed cell (PBE, the Materials Project), using Cu Ka.

Crystal structure
abc: 5.7825 5.7825 5.7825
angles: 54.54 54.54 54.54
Sites, in units of the cell vectors:
Mg (0.0000, 0.0000, 0.0000)
Ti (0.1892, 0.1892, 0.1892)
Ti (0.3520, 0.3520, 0.3520)
Zn (0.5475, 0.5475, 0.5475)
Zn (0.7741, 0.7741, 0.7741)
O (0.1310, 0.7727, 0.3957)
O (0.2606, 0.5821, 0.9610)
O (0.3957, 0.1310, 0.7727)
O (0.5821, 0.9610, 0.2606)
O (0.7727, 0.3957, 0.1310)
O (0.9610, 0.2606, 0.5821)

Peak list (8 most intense, 5 to 70 degrees two-theta, by angle)
31.2 deg, rel. 33.4
33.8 deg, rel. 100.0
36.3 deg, rel. 78.7
38.6 deg, rel. 27.3
50.4 deg, rel. 37.6
50.7 deg, rel. 19.7
60.5 deg, rel. 41.6
62.1 deg, rel. 33.3

---

3.
The following is a computed PXRD pattern of Y3Ni11Ge4. It was derived from a DFT-relaxed cell (PBE, the Materials Project), using Cu Ka.

Crystal structure
abc: 8.3216 8.3216 8.5606
angles: 90.00 90.00 120.00
Sites, in units of the cell vectors:
Y (0.1955, 0.3911, 0.2500)
Y (0.1955, 0.8045, 0.2500)
Y (0.3911, 0.1955, 0.7500)
Y (0.6089, 0.8045, 0.2500)
Y (0.8045, 0.1955, 0.7500)
Y (0.8045, 0.6089, 0.7500)
Ni (0.1320, 0.5660, 0.7500)
Ni (0.1583, 0.3167, 0.5956)
Ni (0.1583, 0.3167, 0.9044)
Ni (0.1583, 0.8417, 0.5956)
Ni (0.1583, 0.8417, 0.9044)
Ni (0.3167, 0.1583, 0.0956)
Ni (0.3167, 0.1583, 0.4044)
Ni (0.3333, 0.6667, 0.5059)
Ni (0.3333, 0.6667, 0.9941)
Ni (0.4340, 0.5660, 0.7500)
Ni (0.4340, 0.8680, 0.7500)
Ni (0.5660, 0.1320, 0.2500)
Ni (0.5660, 0.4340, 0.2500)
Ni (0.6667, 0.3333, 0.0059)
Ni (0.6667, 0.3333, 0.4941)
Ni (0.6833, 0.8417, 0.5956)
Ni (0.6833, 0.8417, 0.9044)
Ni (0.8417, 0.1583, 0.0956)
Ni (0.8417, 0.1583, 0.4044)
Ni (0.8417, 0.6833, 0.0956)
Ni (0.8417, 0.6833, 0.4044)
Ni (0.8680, 0.4340, 0.2500)
Ge (0.0000, 0.0000, 0.2500)
Ge (0.0000, 0.0000, 0.7500)
Ge (0.0000, 0.5000, 0.0000)
Ge (0.0000, 0.5000, 0.5000)
Ge (0.5000, 0.0000, 0.0000)
Ge (0.5000, 0.0000, 0.5000)
Ge (0.5000, 0.5000, 0.0000)
Ge (0.5000, 0.5000, 0.5000)

Peak list (8 most intense, 5 to 70 degrees two-theta, by angle)
38.9 deg, rel. 45.2
39.2 deg, rel. 59.5
40.3 deg, rel. 83.7
42.2 deg, rel. 15.1
43.5 deg, rel. 100.0
46.1 deg, rel. 23.7
49.6 deg, rel. 27.5
50.4 deg, rel. 22.9

---

4.
The following is a computed PXRD pattern of Ca2Sn9O13. It was derived from a DFT-relaxed cell (PBE, the Materials Project), using Cu Ka.

Crystal structure
abc: 5.8402 5.8402 22.4170
angles: 98.25 98.25 32.53
Sites, in units of the cell vectors:
Ca (0.2451, 0.2451, 0.2123)
Ca (0.7549, 0.7549, 0.7877)
Sn (0.0418, 0.0418, 0.3048)
Sn (0.0533, 0.0533, 0.8628)
Sn (0.2255, 0.2255, 0.5835)
Sn (0.3565, 0.3565, 0.9577)
Sn (0.5000, 0.5000, 0.5000)
Sn (0.6435, 0.6435, 0.0423)
Sn (0.7745, 0.7745, 0.4165)
Sn (0.9467, 0.9467, 0.1372)
Sn (0.9582, 0.9582, 0.6952)
O (0.0000, 0.0000, 0.0000)
O (0.0969, 0.0969, 0.7731)
O (0.1190, 0.1190, 0.4897)
O (0.3266, 0.3266, 0.1190)
O (0.3547, 0.3547, 0.7312)
O (0.4012, 0.4012, 0.4127)
O (0.4196, 0.4196, 0.8650)
O (0.5804, 0.5804, 0.1350)
O (0.5988, 0.5988, 0.5873)
O (0.6453, 0.6453, 0.2688)
O (0.6734, 0.6734, 0.8810)
O (0.8810, 0.8810, 0.5103)
O (0.9031, 0.9031, 0.2269)

Peak list (8 most intense, 5 to 70 degrees two-theta, by angle)
8.0 deg, rel. 35.0
20.9 deg, rel. 55.3
26.9 deg, rel. 69.1
27.6 deg, rel. 100.0
29.9 deg, rel. 36.1
36.8 deg, rel. 80.8
45.0 deg, rel. 34.6
54.6 deg, rel. 50.9

---

5.
The following is a computed PXRD pattern of La5In3Br. It was derived from a DFT-relaxed cell (PBE, the Materials Project), using Cu Ka.

Crystal structure
abc: 9.8047 9.8047 6.9733
angles: 90.00 90.00 120.00
Sites, in units of the cell vectors:
La (0.0000, 0.2658, 0.2500)
La (0.0000, 0.7342, 0.7500)
La (0.2658, 0.0000, 0.2500)
La (0.2658, 0.2658, 0.7500)
La (0.3333, 0.6667, 0.0000)
La (0.3333, 0.6667, 0.5000)
La (0.6667, 0.3333, 0.0000)
La (0.6667, 0.3333, 0.5000)
La (0.7342, 0.0000, 0.7500)
La (0.7342, 0.7342, 0.2500)
In (0.0000, 0.3917, 0.7500)
In (0.0000, 0.6083, 0.2500)
In (0.3917, 0.0000, 0.7500)
In (0.3917, 0.3917, 0.2500)
In (0.6083, 0.0000, 0.2500)
In (0.6083, 0.6083, 0.7500)
Br (0.0000, 0.0000, 0.0000)
Br (0.0000, 0.0000, 0.5000)

Peak list (8 most intense, 5 to 70 degrees two-theta, by angle)
30.7 deg, rel. 69.9
31.5 deg, rel. 100.0
31.6 deg, rel. 68.9
40.4 deg, rel. 16.5
45.2 deg, rel. 24.7
48.3 deg, rel. 19.5
56.2 deg, rel. 15.5
62.6 deg, rel. 18.9

---

6.
The following is a computed PXRD pattern of CsHSO4. It was derived from a DFT-relaxed cell (PBE, the Materials Project), using Cu Ka.

Crystal structure
abc: 8.5033 6.0174 11.3196
angles: 90.00 120.36 90.00
Sites, in units of the cell vectors:
Cs (0.2123, 0.2424, 0.3487)
Cs (0.2123, 0.2576, 0.8487)
Cs (0.7877, 0.7424, 0.1513)
Cs (0.7877, 0.7576, 0.6513)
H (0.4679, 0.5119, 0.7203)
H (0.4679, 0.9881, 0.2203)
H (0.5321, 0.0119, 0.7797)
H (0.5321, 0.4881, 0.2797)
S (0.2568, 0.7370, 0.1045)
S (0.2568, 0.7630, 0.6045)
S (0.7432, 0.2370, 0.3955)
S (0.7432, 0.2630, 0.8955)
O (0.1109, 0.7429, 0.9621)
O (0.1109, 0.7571, 0.4621)
O (0.2007, 0.7481, 0.2069)
O (0.2007, 0.7519, 0.7069)
O (0.3705, 0.5422, 0.6198)
O (0.3705, 0.9578, 0.1198)
O (0.3851, 0.5484, 0.1318)
O (0.3851, 0.9516, 0.6318)
O (0.6149, 0.0484, 0.3682)
O (0.6149, 0.4516, 0.8682)
O (0.6295, 0.0422, 0.8802)
O (0.6295, 0.4578, 0.3802)
O (0.7993, 0.2481, 0.2931)
O (0.7993, 0.2519, 0.7931)
O (0.8891, 0.2429, 0.5379)
O (0.8891, 0.2571, 0.0379)

Peak list (8 most intense, 5 to 70 degrees two-theta, by angle)
19.1 deg, rel. 16.6
23.5 deg, rel. 100.0
24.3 deg, rel. 41.3
26.4 deg, rel. 82.5
29.7 deg, rel. 27.1
32.2 deg, rel. 20.7
33.9 deg, rel. 16.1
38.7 deg, rel. 24.0

---

7.
The following is a computed PXRD pattern of Th5Pb4. It was derived from a DFT-relaxed cell (PBE, the Materials Project), using Cu Ka.

Crystal structure
abc: 9.8284 9.8284 6.6475
angles: 90.00 90.00 120.00
Sites, in units of the cell vectors:
Th (0.0000, 0.2842, 0.2500)
Th (0.0000, 0.7158, 0.7500)
Th (0.2842, 0.0000, 0.2500)
Th (0.2842, 0.2842, 0.7500)
Th (0.3333, 0.6667, 0.0000)
Th (0.3333, 0.6667, 0.5000)
Th (0.6667, 0.3333, 0.0000)
Th (0.6667, 0.3333, 0.5000)
Th (0.7158, 0.0000, 0.7500)
Th (0.7158, 0.7158, 0.2500)
Pb (0.0000, 0.0000, 0.0000)
Pb (0.0000, 0.0000, 0.5000)
Pb (0.0000, 0.3777, 0.7500)
Pb (0.0000, 0.6223, 0.2500)
Pb (0.3777, 0.0000, 0.7500)
Pb (0.3777, 0.3777, 0.2500)
Pb (0.6223, 0.0000, 0.2500)
Pb (0.6223, 0.6223, 0.7500)

Peak list (8 most intense, 5 to 70 degrees two-theta, by angle)
30.9 deg, rel. 40.1
31.5 deg, rel. 93.1
32.5 deg, rel. 100.0
40.6 deg, rel. 14.0
45.9 deg, rel. 31.2
56.8 deg, rel. 24.8
59.1 deg, rel. 12.6
65.0 deg, rel. 24.5